# RuPbI
Theoretical X-ray powder pattern, Cu Kα (λ = 1.5418 Å). Input: a DFT-relaxed cell (PBE, Alexandria).
No peak broadening, texture or thermal motion is included.

Structural model:
```
data_RuPbI
_cell_length_a 3.947
_cell_length_b 5.574
_cell_length_c 8.739
_cell_angle_alpha 91.86
_cell_angle_beta 102.70
_cell_angle_gamma 90.01
_symmetry_space_group_name_H-M 'P 1'
_symmetry_Int_Tables_number 1
loop_
_symmetry_equiv_pos_as_xyz
'x,y,z'
loop_
_atom_site_label
_atom_site_type_symbol
_atom_site_fract_x
_atom_site_fract_y
_atom_site_fract_z
Ru1 Ru 0.000 0.000 0.000
Ru2 Ru 0.433 0.822 0.861
Pb1 Pb 0.833 0.034 0.657
Pb2 Pb 0.985 0.485 0.969
I1 I 0.303 0.527 0.596
I2 I 0.609 0.077 0.223
```

The 10 most intense peaks (2θ = 15–90°), in order of falling intensity:
28.1°, d = 3.175 Å, rel. 1000; 32.1°, d = 2.785 Å, rel. 716; 38.0°, d = 2.368 Å, rel. 527; 31.5°, d = 2.840 Å, rel. 526; 26.8°, d = 3.331 Å, rel. 518; 40.1°, d = 2.248 Å, rel. 470; 46.0°, d = 1.973 Å, rel. 443; 31.6°, d = 2.831 Å, rel. 392; 31.7°, d = 2.819 Å, rel. 372; 34.9°, d = 2.572 Å, rel. 332

# V2RuPbI
Theoretical X-ray powder pattern, Cu Kα (λ = 1.5418 Å). Input: a DFT-relaxed cell (PBE, Alexandria).
No peak broadening, texture or thermal motion is included.

Structural model:
```
data_V2RuPbI
_cell_length_a 4.780
_cell_length_b 4.780
_cell_length_c 5.426
_cell_angle_alpha 90.00
_cell_angle_beta 90.00
_cell_angle_gamma 90.00
_symmetry_space_group_name_H-M 'P 1'
_symmetry_Int_Tables_number 1
loop_
_symmetry_equiv_pos_as_xyz
'x,y,z'
loop_
_atom_site_label
_atom_site_type_symbol
_atom_site_fract_x
_atom_site_fract_y
_atom_site_fract_z
V1 V 0.000 0.500 0.000
V2 V 0.500 0.000 0.000
Ru1 Ru 0.000 0.000 0.000
Pb1 Pb 0.500 0.500 0.500
I1 I 0.000 0.000 0.500
```

The 10 most intense peaks (2θ = 15–90°), in order of falling intensity:
31.2°, d = 2.869 Å, rel. 1000; 37.6°, d = 2.390 Å, rel. 799; 26.4°, d = 3.380 Å, rel. 779; 50.9°, d = 1.793 Å, rel. 661; 33.0°, d = 2.713 Å, rel. 572; 24.8°, d = 3.587 Å, rel. 543; 42.7°, d = 2.116 Å, rel. 442; 54.3°, d = 1.690 Å, rel. 340; 65.0°, d = 1.434 Å, rel. 313; 63.9°, d = 1.456 Å, rel. 250

# Pb2S6I
Theoretical X-ray powder pattern, Cu Kα (λ = 1.5418 Å). Input: a DFT-relaxed cell (PBE, Alexandria).
No peak broadening, texture or thermal motion is included.

Structural model:
```
data_Pb2S6I
_cell_length_a 4.638
_cell_length_b 7.535
_cell_length_c 8.045
_cell_angle_alpha 98.25
_cell_angle_beta 97.18
_cell_angle_gamma 106.56
_symmetry_space_group_name_H-M 'P 1'
_symmetry_Int_Tables_number 1
loop_
_symmetry_equiv_pos_as_xyz
'x,y,z'
loop_
_atom_site_label
_atom_site_type_symbol
_atom_site_fract_x
_atom_site_fract_y
_atom_site_fract_z
Pb1 Pb 0.114 0.231 0.298
Pb2 Pb 0.886 0.769 0.702
S1 S 0.092 0.170 0.924
S2 S 0.265 0.495 0.672
S3 S 0.429 0.352 0.843
S4 S 0.571 0.648 0.157
S5 S 0.735 0.505 0.328
S6 S 0.908 0.830 0.076
I1 I 0.500 0.000 0.500
```

The 10 most intense peaks (2θ = 15–90°), in order of falling intensity:
18.4°, d = 4.827 Å, rel. 1000; 26.9°, d = 3.311 Å, rel. 898; 37.2°, d = 2.415 Å, rel. 844; 27.0°, d = 3.298 Å, rel. 640; 39.1°, d = 2.302 Å, rel. 621; 20.3°, d = 4.377 Å, rel. 607; 28.0°, d = 3.186 Å, rel. 528; 27.8°, d = 3.212 Å, rel. 506; 28.9°, d = 3.088 Å, rel. 487; 23.8°, d = 3.732 Å, rel. 464

# Pb2SI2
Theoretical X-ray powder pattern, Cu Kα (λ = 1.5418 Å). Input: a DFT-relaxed cell (PBE, Alexandria).
No peak broadening, texture or thermal motion is included.

Structural model:
```
data_Pb2SI2
_cell_length_a 12.047
_cell_length_b 8.334
_cell_length_c 7.735
_cell_angle_alpha 90.00
_cell_angle_beta 90.00
_cell_angle_gamma 90.00
_symmetry_space_group_name_H-M 'P 1'
_symmetry_Int_Tables_number 1
loop_
_symmetry_equiv_pos_as_xyz
'x,y,z'
loop_
_atom_site_label
_atom_site_type_symbol
_atom_site_fract_x
_atom_site_fract_y
_atom_site_fract_z
Pb1 Pb 0.089 0.208 0.025
Pb2 Pb 0.089 0.792 0.525
Pb3 Pb 0.411 0.292 0.525
Pb4 Pb 0.411 0.708 0.025
Pb5 Pb 0.589 0.292 0.975
Pb6 Pb 0.589 0.708 0.475
Pb7 Pb 0.911 0.208 0.475
Pb8 Pb 0.911 0.792 0.975
S1 S 0.000 0.023 0.750
S2 S 0.000 0.977 0.250
S3 S 0.500 0.477 0.250
S4 S 0.500 0.523 0.750
I1 I 0.152 0.385 0.417
I2 I 0.152 0.615 0.917
I3 I 0.348 0.115 0.917
I4 I 0.348 0.885 0.417
I5 I 0.652 0.115 0.583
I6 I 0.652 0.885 0.083
I7 I 0.848 0.385 0.083
I8 I 0.848 0.615 0.583
```

The 10 most intense peaks (2θ = 15–90°), in order of falling intensity:
25.4°, d = 3.510 Å, rel. 1000; 33.7°, d = 2.660 Å, rel. 942; 23.0°, d = 3.868 Å, rel. 889; 21.5°, d = 4.129 Å, rel. 801; 37.5°, d = 2.398 Å, rel. 800; 33.1°, d = 2.708 Å, rel. 492; 31.6°, d = 2.835 Å, rel. 440; 39.5°, d = 2.280 Å, rel. 425; 21.3°, d = 4.167 Å, rel. 378; 29.7°, d = 3.012 Å, rel. 356

# SbPb2S2I3
Theoretical X-ray powder pattern, Cu Kα (λ = 1.5418 Å). Input: a DFT-relaxed cell (PBE, Alexandria).
No peak broadening, texture or thermal motion is included.

Structural model:
```
data_SbPb2S2I3
_cell_length_a 7.739
_cell_length_b 16.942
_cell_length_c 8.772
_cell_angle_alpha 90.00
_cell_angle_beta 106.61
_cell_angle_gamma 90.00
_symmetry_space_group_name_H-M 'P 1'
_symmetry_Int_Tables_number 1
loop_
_symmetry_equiv_pos_as_xyz
'x,y,z'
loop_
_atom_site_label
_atom_site_type_symbol
_atom_site_fract_x
_atom_site_fract_y
_atom_site_fract_z
Sb1 Sb 0.201 0.015 0.174
Sb2 Sb 0.201 0.485 0.674
Sb3 Sb 0.799 0.515 0.326
Sb4 Sb 0.799 0.985 0.826
Pb1 Pb 0.105 0.726 0.168
Pb2 Pb 0.105 0.774 0.668
Pb3 Pb 0.256 0.026 0.696
Pb4 Pb 0.256 0.474 0.196
Pb5 Pb 0.744 0.526 0.804
Pb6 Pb 0.744 0.974 0.304
Pb7 Pb 0.895 0.226 0.332
Pb8 Pb 0.895 0.274 0.832
S1 S 0.041 0.086 0.910
S2 S 0.041 0.414 0.410
S3 S 0.045 0.073 0.367
S4 S 0.045 0.427 0.867
S5 S 0.955 0.573 0.133
S6 S 0.955 0.927 0.633
S7 S 0.959 0.586 0.590
S8 S 0.959 0.914 0.090
I1 I 0.196 0.240 0.666
I2 I 0.196 0.260 0.166
I3 I 0.360 0.617 0.967
I4 I 0.360 0.883 0.467
I5 I 0.398 0.617 0.466
I6 I 0.398 0.883 0.966
I7 I 0.602 0.117 0.034
I8 I 0.602 0.383 0.534
I9 I 0.640 0.117 0.533
I10 I 0.640 0.383 0.033
I11 I 0.804 0.740 0.834
I12 I 0.804 0.760 0.334
```

The 10 most intense peaks (2θ = 15–90°), in order of falling intensity:
29.9°, d = 2.984 Å, rel. 1000; 27.2°, d = 3.281 Å, rel. 840; 27.7°, d = 3.222 Å, rel. 526; 34.6°, d = 2.594 Å, rel. 373; 24.2°, d = 3.678 Å, rel. 366; 41.2°, d = 2.193 Å, rel. 346; 38.1°, d = 2.360 Å, rel. 273; 28.8°, d = 3.100 Å, rel. 226; 29.0°, d = 3.082 Å, rel. 197; 32.1°, d = 2.790 Å, rel. 188

# SbPb2S2I3
Theoretical X-ray powder pattern, Cu Kα (λ = 1.5418 Å). Input: a DFT-relaxed cell (PBE, Alexandria).
No peak broadening, texture or thermal motion is included.

Structural model:
```
data_SbPb2S2I3
_cell_length_a 8.025
_cell_length_b 8.025
_cell_length_c 17.044
_cell_angle_alpha 90.00
_cell_angle_beta 90.00
_cell_angle_gamma 148.61
_symmetry_space_group_name_H-M 'P 1'
_symmetry_Int_Tables_number 1
loop_
_symmetry_equiv_pos_as_xyz
'x,y,z'
loop_
_atom_site_label
_atom_site_type_symbol
_atom_site_fract_x
_atom_site_fract_y
_atom_site_fract_z
Sb1 Sb 0.130 0.870 0.500
Sb2 Sb 0.870 0.130 0.000
Pb1 Pb 0.151 0.849 0.961
Pb2 Pb 0.219 0.781 0.216
Pb3 Pb 0.781 0.219 0.716
Pb4 Pb 0.849 0.151 0.461
S1 S 0.246 0.754 0.402
S2 S 0.294 0.706 0.064
S3 S 0.706 0.294 0.564
S4 S 0.754 0.246 0.902
I1 I 0.136 0.864 0.747
I2 I 0.409 0.591 0.615
I3 I 0.465 0.535 0.889
I4 I 0.535 0.465 0.389
I5 I 0.591 0.409 0.115
I6 I 0.864 0.136 0.247
```

The 10 most intense peaks (2θ = 15–90°), in order of falling intensity:
29.9°, d = 2.984 Å, rel. 1000; 27.4°, d = 3.258 Å, rel. 913; 26.9°, d = 3.319 Å, rel. 875; 34.2°, d = 2.619 Å, rel. 581; 23.8°, d = 3.731 Å, rel. 457; 41.6°, d = 2.171 Å, rel. 435; 20.8°, d = 4.261 Å, rel. 403; 27.9°, d = 3.194 Å, rel. 309; 28.6°, d = 3.119 Å, rel. 300; 44.8°, d = 2.025 Å, rel. 259

# SrPbSI2
Theoretical X-ray powder pattern, Cu Kα (λ = 1.5418 Å). Input: a DFT-relaxed cell (PBE, Alexandria).
No peak broadening, texture or thermal motion is included.

Structural model:
```
data_SrPbSI2
_cell_length_a 7.845
_cell_length_b 7.845
_cell_length_c 10.620
_cell_angle_alpha 90.00
_cell_angle_beta 90.00
_cell_angle_gamma 145.57
_symmetry_space_group_name_H-M 'P 1'
_symmetry_Int_Tables_number 1
loop_
_symmetry_equiv_pos_as_xyz
'x,y,z'
loop_
_atom_site_label
_atom_site_type_symbol
_atom_site_fract_x
_atom_site_fract_y
_atom_site_fract_z
Sr1 Sr 0.197 0.803 0.750
Sr2 Sr 0.803 0.197 0.250
Pb1 Pb 0.500 0.500 0.000
Pb2 Pb 0.500 0.500 0.500
S1 S 0.416 0.584 0.250
S2 S 0.584 0.416 0.750
I1 I 0.150 0.850 0.066
I2 I 0.150 0.850 0.434
I3 I 0.850 0.150 0.566
I4 I 0.850 0.150 0.934
```

The 10 most intense peaks (2θ = 15–90°), in order of falling intensity:
26.2°, d = 3.401 Å, rel. 1000; 31.2°, d = 2.864 Å, rel. 373; 39.6°, d = 2.276 Å, rel. 356; 16.7°, d = 5.310 Å, rel. 305; 27.9°, d = 3.201 Å, rel. 290; 32.4°, d = 2.767 Å, rel. 271; 20.5°, d = 4.332 Å, rel. 255; 38.8°, d = 2.322 Å, rel. 205; 35.9°, d = 2.499 Å, rel. 167; 39.9°, d = 2.260 Å, rel. 129

# Pb4SeI6
Theoretical X-ray powder pattern, Cu Kα (λ = 1.5418 Å). Input: a DFT-relaxed cell (PBE, Alexandria).
No peak broadening, texture or thermal motion is included.

Structural model:
```
data_Pb4SeI6
_cell_length_a 10.749
_cell_length_b 10.749
_cell_length_c 7.820
_cell_angle_alpha 90.00
_cell_angle_beta 90.00
_cell_angle_gamma 90.00
_symmetry_space_group_name_H-M 'P 1'
_symmetry_Int_Tables_number 1
loop_
_symmetry_equiv_pos_as_xyz
'x,y,z'
loop_
_atom_site_label
_atom_site_type_symbol
_atom_site_fract_x
_atom_site_fract_y
_atom_site_fract_z
Pb1 Pb 0.001 0.750 0.080
Pb2 Pb 0.250 0.501 0.420
Pb3 Pb 0.250 0.999 0.420
Pb4 Pb 0.499 0.750 0.080
Pb5 Pb 0.501 0.250 0.920
Pb6 Pb 0.750 0.001 0.580
Pb7 Pb 0.750 0.499 0.580
Pb8 Pb 0.999 0.250 0.920
Se1 Se 0.250 0.750 0.250
Se2 Se 0.750 0.250 0.750
I1 I 0.045 0.545 0.750
I2 I 0.045 0.955 0.750
I3 I 0.250 0.250 0.155
I4 I 0.250 0.250 0.655
I5 I 0.455 0.545 0.750
I6 I 0.455 0.955 0.750
I7 I 0.545 0.045 0.250
I8 I 0.545 0.455 0.250
I9 I 0.750 0.750 0.345
I10 I 0.750 0.750 0.845
I11 I 0.955 0.045 0.250
I12 I 0.955 0.455 0.250
```

The 10 most intense peaks (2θ = 15–90°), in order of falling intensity:
20.0°, d = 4.429 Å, rel. 1000; 32.9°, d = 2.725 Å, rel. 550; 29.4°, d = 3.033 Å, rel. 526; 33.3°, d = 2.687 Å, rel. 523; 27.4°, d = 3.257 Å, rel. 398; 39.2°, d = 2.297 Å, rel. 378; 39.3°, d = 2.291 Å, rel. 264; 38.0°, d = 2.371 Å, rel. 259; 32.1°, d = 2.786 Å, rel. 240; 58.2°, d = 1.585 Å, rel. 182

# Pb2SeI2
Theoretical X-ray powder pattern, Cu Kα (λ = 1.5418 Å). Input: a DFT-relaxed cell (PBE, Alexandria).
No peak broadening, texture or thermal motion is included.

Structural model:
```
data_Pb2SeI2
_cell_length_a 11.936
_cell_length_b 8.386
_cell_length_c 8.056
_cell_angle_alpha 90.00
_cell_angle_beta 90.00
_cell_angle_gamma 90.00
_symmetry_space_group_name_H-M 'P 1'
_symmetry_Int_Tables_number 1
loop_
_symmetry_equiv_pos_as_xyz
'x,y,z'
loop_
_atom_site_label
_atom_site_type_symbol
_atom_site_fract_x
_atom_site_fract_y
_atom_site_fract_z
Pb1 Pb 0.093 0.214 0.030
Pb2 Pb 0.093 0.786 0.530
Pb3 Pb 0.407 0.286 0.530
Pb4 Pb 0.407 0.714 0.030
Pb5 Pb 0.593 0.286 0.970
Pb6 Pb 0.593 0.714 0.470
Pb7 Pb 0.907 0.214 0.470
Pb8 Pb 0.907 0.786 0.970
Se1 Se 0.000 0.032 0.750
Se2 Se 0.000 0.968 0.250
Se3 Se 0.500 0.468 0.250
Se4 Se 0.500 0.532 0.750
I1 I 0.151 0.389 0.410
I2 I 0.151 0.611 0.910
I3 I 0.349 0.111 0.910
I4 I 0.349 0.889 0.410
I5 I 0.651 0.111 0.590
I6 I 0.651 0.889 0.090
I7 I 0.849 0.389 0.090
I8 I 0.849 0.611 0.590
```

The 10 most intense peaks (2θ = 15–90°), in order of falling intensity:
37.2°, d = 2.415 Å, rel. 1000; 21.3°, d = 4.163 Å, rel. 980; 25.1°, d = 3.551 Å, rel. 927; 33.8°, d = 2.654 Å, rel. 817; 22.1°, d = 4.028 Å, rel. 720; 30.8°, d = 2.905 Å, rel. 612; 38.3°, d = 2.350 Å, rel. 564; 35.9°, d = 2.501 Å, rel. 429; 37.5°, d = 2.398 Å, rel. 419; 24.8°, d = 3.595 Å, rel. 415

# Sn5PbI12
Theoretical X-ray powder pattern, Cu Kα (λ = 1.5418 Å). Input: a DFT-relaxed cell (PBE, Alexandria).
No peak broadening, texture or thermal motion is included.

Structural model:
```
data_Sn5PbI12
_cell_length_a 7.934
_cell_length_b 7.934
_cell_length_c 15.461
_cell_angle_alpha 90.03
_cell_angle_beta 90.03
_cell_angle_gamma 120.14
_symmetry_space_group_name_H-M 'P 1'
_symmetry_Int_Tables_number 1
loop_
_symmetry_equiv_pos_as_xyz
'x,y,z'
loop_
_atom_site_label
_atom_site_type_symbol
_atom_site_fract_x
_atom_site_fract_y
_atom_site_fract_z
Sn1 Sn 0.000 0.000 0.000
Sn2 Sn 0.167 0.833 0.500
Sn3 Sn 0.333 0.667 0.000
Sn4 Sn 0.667 0.333 0.000
Sn5 Sn 0.833 0.167 0.500
Pb1 Pb 0.500 0.500 0.500
I1 I 0.000 0.333 0.881
I2 I 0.000 0.667 0.119
I3 I 0.162 0.162 0.621
I4 I 0.162 0.500 0.379
I5 I 0.333 0.000 0.881
I6 I 0.334 0.334 0.119
I7 I 0.500 0.162 0.379
I8 I 0.500 0.838 0.621
I9 I 0.666 0.666 0.881
I10 I 0.667 0.000 0.119
I11 I 0.838 0.500 0.621
I12 I 0.838 0.838 0.379
```

The 10 most intense peaks (2θ = 15–90°), in order of falling intensity:
25.2°, d = 3.528 Å, rel. 1000; 28.4°, d = 3.143 Å, rel. 813; 39.8°, d = 2.262 Å, rel. 545; 36.9°, d = 2.439 Å, rel. 432; 32.4°, d = 2.766 Å, rel. 327; 23.2°, d = 3.836 Å, rel. 290; 41.8°, d = 2.161 Å, rel. 272; 51.8°, d = 1.764 Å, rel. 214; 39.3°, d = 2.292 Å, rel. 209; 47.0°, d = 1.932 Å, rel. 161

# SrSnPbI6
Theoretical X-ray powder pattern, Cu Kα (λ = 1.5418 Å). Input: a DFT-relaxed cell (PBE, Alexandria).
No peak broadening, texture or thermal motion is included.

Structural model:
```
data_SrSnPbI6
_cell_length_a 7.670
_cell_length_b 7.670
_cell_length_c 14.599
_cell_angle_alpha 90.00
_cell_angle_beta 90.00
_cell_angle_gamma 90.00
_symmetry_space_group_name_H-M 'P 1'
_symmetry_Int_Tables_number 1
loop_
_symmetry_equiv_pos_as_xyz
'x,y,z'
loop_
_atom_site_label
_atom_site_type_symbol
_atom_site_fract_x
_atom_site_fract_y
_atom_site_fract_z
Sr1 Sr 0.000 0.000 0.000
Sr2 Sr 0.500 0.500 0.500
Sn1 Sn 0.000 0.000 0.333
Sn2 Sn 0.500 0.500 0.833
Pb1 Pb 0.000 0.000 0.668
Pb2 Pb 0.500 0.500 0.168
I1 I 0.195 0.195 0.498
I2 I 0.198 0.198 0.172
I3 I 0.203 0.203 0.831
I4 I 0.297 0.703 0.331
I5 I 0.302 0.698 0.672
I6 I 0.305 0.695 0.998
I7 I 0.695 0.305 0.998
I8 I 0.698 0.302 0.672
I9 I 0.703 0.297 0.331
I10 I 0.797 0.797 0.831
I11 I 0.802 0.802 0.172
I12 I 0.805 0.805 0.498
```

The 10 most intense peaks (2θ = 15–90°), in order of falling intensity:
24.6°, d = 3.622 Å, rel. 1000; 31.9°, d = 2.804 Å, rel. 812; 16.3°, d = 5.424 Å, rel. 670; 39.8°, d = 2.263 Å, rel. 648; 33.0°, d = 2.712 Å, rel. 406; 50.4°, d = 1.810 Å, rel. 375; 26.0°, d = 3.430 Å, rel. 350; 36.9°, d = 2.433 Å, rel. 252; 68.7°, d = 1.367 Å, rel. 250; 41.6°, d = 2.171 Å, rel. 173

# SrPb3I8
Theoretical X-ray powder pattern, Cu Kα (λ = 1.5418 Å). Input: a DFT-relaxed cell (PBE, Alexandria).
No peak broadening, texture or thermal motion is included.

Structural model:
```
data_SrPb3I8
_cell_length_a 9.248
_cell_length_b 9.248
_cell_length_c 9.311
_cell_angle_alpha 118.96
_cell_angle_beta 118.96
_cell_angle_gamma 61.33
_symmetry_space_group_name_H-M 'P 1'
_symmetry_Int_Tables_number 1
loop_
_symmetry_equiv_pos_as_xyz
'x,y,z'
loop_
_atom_site_label
_atom_site_type_symbol
_atom_site_fract_x
_atom_site_fract_y
_atom_site_fract_z
Sr1 Sr 0.000 0.000 0.000
Pb1 Pb 0.000 0.500 0.500
Pb2 Pb 0.500 0.000 0.500
Pb3 Pb 0.500 0.500 0.000
I1 I 0.250 0.250 0.746
I2 I 0.251 0.251 0.257
I3 I 0.251 0.746 0.753
I4 I 0.254 0.749 0.247
I5 I 0.746 0.251 0.753
I6 I 0.749 0.254 0.247
I7 I 0.749 0.749 0.743
I8 I 0.750 0.750 0.254
```

The 10 most intense peaks (2θ = 15–90°), in order of falling intensity:
26.9°, d = 3.313 Å, rel. 1000; 38.2°, d = 2.357 Å, rel. 595; 27.1°, d = 3.287 Å, rel. 491; 22.1°, d = 4.016 Å, rel. 398; 39.0°, d = 2.311 Å, rel. 374; 47.4°, d = 1.916 Å, rel. 213; 38.7°, d = 2.327 Å, rel. 190; 62.3°, d = 1.490 Å, rel. 188; 40.0°, d = 2.252 Å, rel. 145; 55.5°, d = 1.656 Å, rel. 133